# 1
This entry pairs a crystal structure of La2TlCd2 with its simulated powder X-ray diffraction pattern. Radiation: λ = 1.5418 Å (Cu Kα). Structure: a GGA-PBE-relaxed structure.
Lines closer than 0.1° are merged.

Principal peaks in the range 2θ = 10–80°, low angle first:
28.2°, rel. 30
32.4°, rel. 69
32.9°, rel. 100
46.8°, rel. 28
58.4°, rel. 27
58.7°, rel. 19
59.4°, rel. 15
69.0°, rel. 11

Atomic structure:
abc: 5.447 5.447 17.065
angles: 90.00 90.00 120.00
Positions (direct):
La  0.000  0.000  0.228
La  0.000  0.000  0.772
La  0.333  0.667  0.439
La  0.333  0.667  0.895
La  0.667  0.333  0.105
La  0.667  0.333  0.561
Tl  0.000  0.000  0.000
Tl  0.333  0.667  0.667
Tl  0.667  0.333  0.333
Cd  0.000  0.000  0.416
Cd  0.000  0.000  0.584
Cd  0.333  0.667  0.083
Cd  0.333  0.667  0.250
Cd  0.667  0.333  0.750
Cd  0.667  0.333  0.917



# 2
This entry pairs a crystal structure of LaTl2Cd with its simulated powder X-ray diffraction pattern. Radiation: λ = 1.5418 Å (Cu Kα). Structure: a GGA-PBE-relaxed structure.
Lines closer than 0.1° are merged.

Principal peaks in the range 2θ = 10–80°, low angle first:
19.9°, rel. 6
32.8°, rel. 100
38.7°, rel. 3
47.1°, rel. 18
51.6°, rel. 2
58.6°, rel. 38
68.8°, rel. 12
78.4°, rel. 17

Atomic structure:
abc: 7.716 7.716 7.716
angles: 90.00 90.00 90.00
Positions (direct):
La  0.000  0.000  0.000
La  0.000  0.500  0.500
La  0.500  0.000  0.500
La  0.500  0.500  0.000
Tl  0.000  0.000  0.500
Tl  0.000  0.500  0.000
Tl  0.250  0.250  0.250
Tl  0.250  0.750  0.750
Tl  0.500  0.000  0.000
Tl  0.500  0.500  0.500
Tl  0.750  0.250  0.750
Tl  0.750  0.750  0.250
Cd  0.250  0.250  0.750
Cd  0.250  0.750  0.250
Cd  0.750  0.250  0.250
Cd  0.750  0.750  0.750



# 3
This entry pairs a crystal structure of La7Tl2Cd2 with its simulated powder X-ray diffraction pattern. Radiation: λ = 1.5418 Å (Cu Kα). Structure: a GGA-PBE-relaxed structure.
Lines closer than 0.1° are merged.

Principal peaks in the range 2θ = 10–80°, low angle first:
24.3°, rel. 77
25.7°, rel. 37
30.4°, rel. 67
33.7°, rel. 77
34.7°, rel. 100
36.7°, rel. 27
41.8°, rel. 27
44.1°, rel. 27

Atomic structure:
abc: 7.167 7.167 8.079
angles: 90.00 90.00 110.05
Positions (direct):
La  0.000  0.000  0.000
La  0.000  0.500  0.304
La  0.000  0.500  0.696
La  0.500  0.000  0.304
La  0.500  0.000  0.696
La  0.500  0.500  0.271
La  0.500  0.500  0.729
Tl  0.290  0.710  0.000
Tl  0.710  0.290  0.000
Cd  0.166  0.166  0.500
Cd  0.834  0.834  0.500